The following is a theoretical powder diffractogram of DyY2P3Rh12. It was derived from DFT lattice parameters and positions (PBE), using Cu Kα X-rays.

The 10 most intense peaks (2θ from 10° to 90°), low angle first:
- 2θ 20.81, rel. 14
- 2θ 33.60, rel. 20
- 2θ 36.38, rel. 27
- 2θ 36.97, rel. 20
- 2θ 40.24, rel. 100
- 2θ 42.30, rel. 25
- 2θ 47.11, rel. 16
- 2θ 59.83, rel. 18
- 2θ 73.15, rel. 14
- 2θ 79.87, rel. 12

Structural model:
```
data_DyY2P3Rh12
_chemical_formula_sum 'Dy1 Y2 P3 Rh12'
_cell_length_a 6.708
_cell_length_b 6.708
_cell_length_c 6.708
_cell_angle_alpha 83.85
_cell_angle_beta 83.85
_cell_angle_gamma 83.85
_symmetry_space_group_name_H-M 'P 1'
_symmetry_Int_Tables_number 1
loop_
_symmetry_equiv_pos_as_xyz
'x,y,z'
loop_
_atom_site_label
_atom_site_fract_x
_atom_site_fract_y
_atom_site_fract_z
_atom_site_occupancy
Dy1 0.000 0.000 0.000 1
Y1 0.372 0.372 0.372 1
Y2 0.628 0.628 0.628 1
P1 0.000 0.000 0.500 1
P2 0.000 0.500 0.000 1
P3 0.500 0.000 0.000 1
Rh1 0.092 0.630 0.630 1
Rh2 0.179 0.179 0.663 1
Rh3 0.179 0.663 0.179 1
Rh4 0.337 0.821 0.821 1
Rh5 0.370 0.370 0.908 1
Rh6 0.370 0.908 0.370 1
Rh7 0.630 0.092 0.630 1
Rh8 0.630 0.630 0.092 1
Rh9 0.663 0.179 0.179 1
Rh10 0.821 0.337 0.821 1
Rh11 0.821 0.821 0.337 1
Rh12 0.908 0.370 0.370 1
```

The following is a theoretical powder diffractogram of RbPu4O12. It was derived from DFT lattice parameters and positions (PBE), using Cu Kα X-rays.

The 10 most intense peaks (2θ from 10° to 90°), low angle first:
- 2θ 21.30, rel. 100
- 2θ 30.30, rel. 91
- 2θ 37.34, rel. 16
- 2θ 43.39, rel. 28
- 2θ 48.82, rel. 46
- 2θ 53.84, rel. 39
- 2θ 63.03, rel. 18
- 2θ 67.35, rel. 22
- 2θ 71.53, rel. 17
- 2θ 87.50, rel. 21

Structural model:
```
data_RbPu4O12
_chemical_formula_sum 'Rb1 Pu4 O12'
_cell_length_a 7.225
_cell_length_b 7.225
_cell_length_c 7.225
_cell_angle_alpha 109.47
_cell_angle_beta 109.47
_cell_angle_gamma 109.47
_symmetry_space_group_name_H-M 'P 1'
_symmetry_Int_Tables_number 1
loop_
_symmetry_equiv_pos_as_xyz
'x,y,z'
loop_
_atom_site_label
_atom_site_fract_x
_atom_site_fract_y
_atom_site_fract_z
_atom_site_occupancy
Rb1 0.000 0.000 0.000 1
Pu1 0.000 0.000 0.500 1
Pu2 0.000 0.500 0.000 1
Pu3 0.500 0.000 0.000 1
Pu4 0.500 0.500 0.500 1
O1 0.000 0.248 0.752 1
O2 0.000 0.752 0.248 1
O3 0.247 0.247 0.495 1
O4 0.247 0.753 0.000 1
O5 0.248 0.000 0.752 1
O6 0.248 0.496 0.248 1
O7 0.496 0.248 0.248 1
O8 0.504 0.752 0.752 1
O9 0.752 0.000 0.248 1
O10 0.752 0.504 0.752 1
O11 0.753 0.247 0.000 1
O12 0.753 0.753 0.505 1
```

The following is a theoretical powder diffractogram of PrHo4In4. It was derived from DFT lattice parameters and positions (PBE), using Cu Kα X-rays.

The 10 most intense peaks (2θ from 10° to 90°), low angle first:
- 2θ 14.81, rel. 21
- 2θ 28.25, rel. 20
- 2θ 28.74, rel. 100
- 2θ 34.91, rel. 48
- 2θ 35.57, rel. 97
- 2θ 36.32, rel. 29
- 2θ 44.29, rel. 14
- 2θ 50.20, rel. 26
- 2θ 57.60, rel. 22
- 2θ 63.03, rel. 29

Structural model:
```
data_PrHo4In4
_chemical_formula_sum 'Pr2 Ho8 In8'
_cell_length_a 7.269
_cell_length_b 7.269
_cell_length_c 10.523
_cell_angle_alpha 90.00
_cell_angle_beta 90.00
_cell_angle_gamma 90.00
_symmetry_space_group_name_H-M 'P 1'
_symmetry_Int_Tables_number 1
loop_
_symmetry_equiv_pos_as_xyz
'x,y,z'
loop_
_atom_site_label
_atom_site_fract_x
_atom_site_fract_y
_atom_site_fract_z
_atom_site_occupancy
Pr1 0.250 0.750 0.250 1
Pr2 0.750 0.250 0.750 1
Ho1 0.016 0.250 0.159 1
Ho2 0.250 0.016 0.659 1
Ho3 0.250 0.484 0.659 1
Ho4 0.484 0.250 0.159 1
Ho5 0.516 0.750 0.841 1
Ho6 0.750 0.516 0.341 1
Ho7 0.750 0.984 0.341 1
Ho8 0.984 0.750 0.841 1
In1 0.040 0.250 0.456 1
In2 0.250 0.040 0.956 1
In3 0.250 0.460 0.956 1
In4 0.460 0.250 0.456 1
In5 0.540 0.750 0.544 1
In6 0.750 0.540 0.044 1
In7 0.750 0.960 0.044 1
In8 0.960 0.750 0.544 1
```

The following is a theoretical powder diffractogram of CeNd10Ho4. It was derived from DFT lattice parameters and positions (PBE), using Cu Kα X-rays.

The 10 most intense peaks (2θ from 10° to 90°), low angle first:
- 2θ 26.53, rel. 77
- 2θ 28.44, rel. 92
- 2θ 28.67, rel. 100
- 2θ 32.25, rel. 94
- 2θ 33.27, rel. 79
- 2θ 33.87, rel. 47
- 2θ 38.22, rel. 28
- 2θ 40.99, rel. 25
- 2θ 41.62, rel. 31
- 2θ 44.48, rel. 38

Structural model:
```
data_CeNd10Ho4
_chemical_formula_sum 'Ce1 Nd10 Ho4'
_cell_length_a 8.788
_cell_length_b 8.788
_cell_length_c 8.788
_cell_angle_alpha 111.86
_cell_angle_beta 111.86
_cell_angle_gamma 104.80
_symmetry_space_group_name_H-M 'P 1'
_symmetry_Int_Tables_number 1
loop_
_symmetry_equiv_pos_as_xyz
'x,y,z'
loop_
_atom_site_label
_atom_site_fract_x
_atom_site_fract_y
_atom_site_fract_z
_atom_site_occupancy
Ce1 0.000 0.000 0.000 1
Nd1 0.131 0.228 0.671 1
Nd2 0.228 0.557 0.097 1
Nd3 0.250 0.750 0.500 1
Nd4 0.443 0.540 0.671 1
Nd5 0.460 0.131 0.903 1
Nd6 0.540 0.869 0.097 1
Nd7 0.557 0.460 0.329 1
Nd8 0.750 0.250 0.500 1
Nd9 0.772 0.443 0.903 1
Nd10 0.869 0.772 0.329 1
Ho1 0.060 0.668 0.728 1
Ho2 0.332 0.060 0.392 1
Ho3 0.668 0.940 0.608 1
Ho4 0.940 0.332 0.272 1
```